Starting from the PBE geometry in Alexandria, the X-ray diffraction stick pattern of Ho8ThSc5 was simulated for Cu Kα (λ = 1.5418 Å).

Top 12 peaks for 5 to 70 degrees two-theta, sorted by position:
| (hkl) | 2θ/deg | I (rel.) |
| --- | --- | --- |
| 0 2 1 | 24.85 | 23 |
| 3 1 0 | 26.27 | 44 |
| 2 2 0 | 26.76 | 46 |
| 2 2 -2 | 29.20 | 27 |
| 4 0 -3 | 30.89 | 22 |
| 3 1 -3 | 31.61 | 40 |
| 5 1 -2 | 33.29 | 100 |
| 4 2 -2 | 33.58 | 22 |
| 2 2 1 | 33.73 | 29 |
| 3 1 1 | 35.25 | 35 |
| 2 2 -3 | 37.67 | 43 |
| 0 0 3 | 38.19 | 25 |

Structure:
a = 14.2367 Å, b = 8.3126 Å, c = 9.0313 Å
α = 90.00°, β = 128.47°, γ = 90.00°
Space group C2 (No. 5)
Asymmetric unit:
Ho: 0.0501 0.0000 0.2028
Ho: 0.1568 0.3563 0.1179
Ho: 0.1871 0.6585 0.4618
Ho: 0.2484 0.3073 0.8367
Th: 0.0000 0.9755 0.5000
Sc: 0.0000 0.6620 0.0000
Sc: 0.0441 0.3270 0.3738
Sc: 0.0979 0.6375 0.7368

***

Starting from the PBE geometry in Alexandria, the X-ray diffraction stick pattern of HoTh7Sc2 was simulated for Cu Kα (λ = 1.5418 Å).

Top 12 peaks for 5 to 70 degrees two-theta, sorted by position:
| (hkl) | 2θ/deg | I (rel.) |
| --- | --- | --- |
| 0 0 1 | 10.07 | 4 |
| 0 1 -1 | 17.89 | 5 |
| 1 1 2 | 25.32 | 4 |
| 1 2 1 | 31.17 | 100 |
| 2 0 1 | 36.11 | 34 |
| 0 2 -2 | 36.23 | 17 |
| 2 2 4 | 52.03 | 30 |
| 2 -2 3 | 52.13 | 6 |
| 3 2 2 | 61.86 | 22 |
| 3 -2 1 | 61.97 | 14 |
| 1 -4 2 | 62.06 | 7 |
| 2 4 2 | 65.01 | 12 |

Structure:
a = 4.9722 Å, b = 7.0258 Å, c = 9.3013 Å
α = 78.89°, β = 74.52°, γ = 89.93°
Space group P-1 (No. 2)
Asymmetric unit:
Ho: 0.0000 0.0000 0.0000
Th: 0.0000 0.5000 0.0000
Th: 0.2012 0.1033 0.5978
Th: 0.3960 0.6948 0.2082
Th: 0.4001 0.1996 0.2007
Sc: 0.1984 0.5965 0.6025

***

Starting from the PBE geometry in Alexandria, the X-ray diffraction stick pattern of HoTh2Sc5 was simulated for Cu Kα (λ = 1.5418 Å).

Top 12 peaks for 5 to 70 degrees two-theta, sorted by position:
| (hkl) | 2θ/deg | I (rel.) |
| --- | --- | --- |
| 0 1 1 | 13.21 | 72 |
| 0 2 0 | 19.33 | 90 |
| 1 1 0 | 19.57 | 27 |
| 1 1 2 | 26.78 | 70 |
| 0 3 1 | 30.60 | 25 |
| 1 0 3 | 32.33 | 100 |
| 1 3 0 | 33.96 | 35 |
| 2 0 0 | 34.38 | 46 |
| 1 2 3 | 37.95 | 60 |
| 1 3 2 | 38.75 | 53 |
| 2 2 0 | 39.75 | 29 |
| 1 4 3 | 51.73 | 23 |

Structure:
a = 5.2163 Å, b = 9.1817 Å, c = 9.8010 Å
α = 90.00°, β = 90.00°, γ = 90.00°
Space group Immm (No. 71)
Asymmetric unit:
Ho: 0.0000 0.0000 0.0000
Th: 0.0000 0.5000 0.3137
Sc: 0.0000 0.1616 0.3291
Sc: 0.0000 0.5000 0.0000